# 1
Theoretical PXRD pattern
Compound: Li2V2FeO6
Radiation: Cu Kα, 1.54184 Å
Structure: the GGA+U geometry in Alexandria
Lines closer than 0.1° are merged.

Crystal structure
abc: 5.1315 5.1315 10.1245
angles: 92.09 92.09 58.01
Fractional coordinates of all 22 atoms:
Li 0.0296 0.3126 0.2520
Li 0.3126 0.0296 0.7520
Li 0.6874 0.9704 0.2480
Li 0.9704 0.6874 0.7480
V 0.1839 0.6569 0.4896
V 0.3431 0.8161 0.0104
V 0.6569 0.1839 0.9896
V 0.8161 0.3431 0.5104
Fe 0.0000 0.5000 0.0000
Fe 0.5000 0.0000 0.5000
O 0.0108 0.1574 0.9008
O 0.1574 0.0108 0.4008
O 0.1725 0.3427 0.6062
O 0.3114 0.4998 0.8921
O 0.3427 0.1725 0.1062
O 0.4998 0.3114 0.3921
O 0.5002 0.6886 0.6079
O 0.6573 0.8275 0.8938
O 0.6886 0.5002 0.1079
O 0.8275 0.6573 0.3938
O 0.8426 0.9892 0.5992
O 0.9892 0.8426 0.0992

Principal peaks in the range 15 to 90 degrees two-theta, low angle first:
Position (°2θ)  Rel. int.
17.53  1000
35.84  116
36.10  62
36.48  166
40.40  144
43.59  175
45.22  183
51.52  123
56.98  81
59.19  87
64.74  81
65.15  69


# 2
Theoretical PXRD pattern
Compound: Li3VFe3O8
Radiation: Cu Kα, 1.54184 Å
Structure: the GGA+U geometry in Alexandria
Lines closer than 0.1° are merged.

Crystal structure
abc: 5.8957 5.8957 9.6058
angles: 90.00 90.00 120.00
Fractional coordinates of all 30 atoms:
Li 0.1750 0.3501 0.0000
Li 0.1750 0.8250 0.0000
Li 0.3501 0.1750 0.5000
Li 0.6499 0.8250 0.0000
Li 0.8250 0.1750 0.5000
Li 0.8250 0.6499 0.5000
V 0.3333 0.6667 0.5490
V 0.6667 0.3333 0.0490
Fe 0.1686 0.3373 0.2711
Fe 0.1686 0.8314 0.2711
Fe 0.3373 0.1686 0.7711
Fe 0.6627 0.8314 0.2711
Fe 0.8314 0.1686 0.7711
Fe 0.8314 0.6627 0.7711
O 0.0000 0.0000 0.3799
O 0.0000 0.0000 0.8799
O 0.0371 0.5186 0.4043
O 0.1671 0.3342 0.6492
O 0.1671 0.8329 0.6492
O 0.3333 0.6667 0.1536
O 0.3342 0.1671 0.1492
O 0.4814 0.5186 0.4043
O 0.4814 0.9629 0.4043
O 0.5186 0.0371 0.9043
O 0.5186 0.4814 0.9043
O 0.6658 0.8329 0.6492
O 0.6667 0.3333 0.6536
O 0.8329 0.1671 0.1492
O 0.8329 0.6658 0.1492
O 0.9629 0.4814 0.9043

Principal peaks in the range 15 to 90 degrees two-theta, low angle first:
Position (°2θ)  Rel. int.
18.47  581
19.69  1000
25.46  351
33.02  344
35.74  439
36.42  624
40.00  460
45.44  857
52.30  284
55.61  202
60.29  464
63.07  465